# ErSi3Ni5
Theoretical X-ray powder pattern, Cu Kα (weighted mean of Kα1 and Kα2). Input: a crystal structure in OQMD, relaxed with GGA-PBE.
No peak broadening, texture or thermal motion is included.

Largest 8 diffraction maxima, sorted by position, 10° ≤ 2θ ≤ 90°:
- 25.47 deg, 3.497 Å, intensity 13
- 36.36 deg, 2.471 Å, intensity 29
- 36.50 deg, 2.461 Å, intensity 21
- 37.49 deg, 2.399 Å, intensity 29
- 39.05 deg, 2.307 Å, intensity 100
- 45.76 deg, 1.983 Å, intensity 13
- 48.24 deg, 1.886 Å, intensity 29
- 61.88 deg, 1.499 Å, intensity 12

Atomic structure:
```
ErSi3Ni5
1.0
18.648 0.000 0.000
0.000 3.773 0.000
0.000 0.000 6.601
Er Si Ni
4 12 20
Cartesian
2.693 0.943 0.808 Er
6.630 2.830 4.109 Er
12.017 0.943 2.492 Er
15.954 2.830 5.793 Er
1.408 2.830 5.583 Si
1.593 2.830 2.734 Si
4.427 0.943 4.099 Si
4.897 2.830 0.799 Si
7.731 0.943 6.034 Si
7.916 0.943 2.283 Si
10.731 2.830 4.318 Si
10.917 2.830 0.567 Si
13.751 0.943 5.802 Si
14.220 2.830 2.502 Si
17.054 0.943 3.867 Si
17.240 0.943 1.017 Si
0.094 2.830 0.868 Ni
0.267 0.943 2.524 Ni
2.140 0.943 4.241 Ni
3.725 2.830 5.380 Ni
3.842 2.830 2.834 Ni
5.482 0.943 6.135 Ni
5.599 0.943 2.080 Ni
7.184 2.830 0.940 Ni
9.057 2.830 5.824 Ni
9.230 0.943 4.168 Ni
9.417 2.830 2.433 Ni
9.591 0.943 0.776 Ni
11.463 0.943 5.661 Ni
13.049 2.830 4.521 Ni
13.166 2.830 0.466 Ni
14.806 0.943 3.766 Ni
14.923 0.943 1.221 Ni
16.508 2.830 2.360 Ni
18.381 2.830 4.077 Ni
18.554 0.943 5.733 Ni
```

***

# Er2Si5Ni3
Theoretical X-ray powder pattern, Cu Kα (weighted mean of Kα1 and Kα2). Input: a crystal structure in OQMD, relaxed with GGA-PBE.
No peak broadening, texture or thermal motion is included.

Largest 8 diffraction maxima, sorted by position, 10° ≤ 2θ ≤ 90°:
- 24.45 deg, 3.641 Å, intensity 53
- 31.88 deg, 2.807 Å, intensity 24
- 36.29 deg, 2.475 Å, intensity 100
- 37.15 deg, 2.420 Å, intensity 55
- 37.63 deg, 2.391 Å, intensity 60
- 46.09 deg, 1.969 Å, intensity 54
- 53.31 deg, 1.718 Å, intensity 28
- 59.71 deg, 1.549 Å, intensity 23

Atomic structure:
```
Er2Si5Ni3
1.0
-4.774 5.526 2.807
4.774 -5.526 2.807
4.774 5.526 -2.807
Er Si Ni
4 10 6
Cartesian
2.254 1.453 0.000 Er
2.254 -1.453 2.807 Er
2.520 6.978 0.000 Er
2.520 4.073 2.807 Er
4.774 -2.577 1.404 Si
6.233 1.185 0.000 Si
0.000 0.000 1.404 Si
1.459 4.341 0.000 Si
4.774 2.577 1.404 Si
0.000 2.949 1.404 Si
3.315 1.185 2.807 Si
0.000 0.000 4.211 Si
-1.459 4.341 2.807 Si
0.000 8.103 1.404 Si
3.691 -4.041 2.807 Ni
4.774 0.000 1.404 Ni
3.691 4.041 0.000 Ni
1.083 1.484 2.807 Ni
0.000 5.526 1.404 Ni
1.083 9.567 0.000 Ni
```

***

# TbErSi4Ni2
Theoretical X-ray powder pattern, Cu Kα (weighted mean of Kα1 and Kα2). Input: a crystal structure in OQMD, relaxed with GGA-PBE.
No peak broadening, texture or thermal motion is included.

Largest 8 diffraction maxima, sorted by position, 10° ≤ 2θ ≤ 90°:
- 21.72 deg, 4.092 Å, intensity 34
- 24.95 deg, 3.568 Å, intensity 31
- 32.32 deg, 2.770 Å, intensity 75
- 35.49 deg, 2.529 Å, intensity 74
- 35.94 deg, 2.498 Å, intensity 100
- 40.12 deg, 2.248 Å, intensity 34
- 45.54 deg, 1.992 Å, intensity 31
- 59.22 deg, 1.560 Å, intensity 33

Atomic structure:
```
TbErSi4Ni2
1.0
3.965 0.000 0.000
0.000 1.992 8.185
0.000 -1.992 8.185
Tb Er Si Ni
1 1 4 2
Cartesian
0.000 0.000 0.000 Tb
1.982 0.000 12.917 Er
0.000 0.000 5.804 Si
0.000 0.000 10.564 Si
1.982 0.000 2.379 Si
1.982 0.000 7.107 Si
0.000 0.000 3.559 Ni
1.982 0.000 9.376 Ni
```

***

# Er4TlSi4Ni2
Theoretical X-ray powder pattern, Cu Kα (weighted mean of Kα1 and Kα2). Input: a crystal structure in OQMD, relaxed with GGA-PBE.
No peak broadening, texture or thermal motion is included.

Largest 8 diffraction maxima, sorted by position, 10° ≤ 2θ ≤ 90°:
- 27.22 deg, 3.276 Å, intensity 40
- 28.39 deg, 3.144 Å, intensity 55
- 33.84 deg, 2.649 Å, intensity 39
- 34.14 deg, 2.626 Å, intensity 81
- 35.18 deg, 2.551 Å, intensity 100
- 37.97 deg, 2.370 Å, intensity 44
- 43.58 deg, 2.077 Å, intensity 50
- 59.08 deg, 1.564 Å, intensity 38

Atomic structure:
```
Er4TlSi4Ni2
1.0
7.620 -2.077 0.000
7.620 2.077 0.000
-2.225 0.000 6.544
Er Tl Si Ni
4 1 4 2
Cartesian
0.503 0.000 2.527 Er
0.284 0.000 6.136 Er
12.731 0.000 0.408 Er
12.512 0.000 4.017 Er
7.620 0.000 0.000 Tl
2.834 0.000 4.699 Si
5.863 0.000 2.271 Si
7.153 0.000 4.274 Si
10.181 0.000 1.845 Si
3.547 0.000 2.341 Ni
9.468 0.000 4.203 Ni
```

***

# Sm2Er2Ni
Theoretical X-ray powder pattern, Cu Kα (weighted mean of Kα1 and Kα2). Input: a crystal structure in OQMD, relaxed with GGA-PBE.
No peak broadening, texture or thermal motion is included.

Largest 8 diffraction maxima, sorted by position, 10° ≤ 2θ ≤ 90°:
- 25.43 deg, 3.502 Å, intensity 14
- 31.69 deg, 2.824 Å, intensity 74
- 33.45 deg, 2.679 Å, intensity 100
- 38.93 deg, 2.314 Å, intensity 18
- 46.75 deg, 1.943 Å, intensity 27
- 58.69 deg, 1.573 Å, intensity 27
- 59.80 deg, 1.547 Å, intensity 19
- 70.29 deg, 1.339 Å, intensity 13

Atomic structure:
```
Sm2Er2Ni
1.0
5.358 0.000 0.000
-2.679 4.640 0.000
0.000 0.000 10.677
Sm Er Ni
4 4 2
Cartesian
0.000 3.093 1.026 Sm
0.000 3.093 4.312 Sm
2.679 1.547 6.365 Sm
2.679 1.547 9.650 Sm
0.000 0.000 0.000 Er
0.000 0.000 5.338 Er
0.000 3.093 8.008 Er
2.679 1.547 2.669 Er
0.000 0.000 2.669 Ni
0.000 0.000 8.008 Ni
```

***

# Er5Ni2Te2
Theoretical X-ray powder pattern, Cu Kα (weighted mean of Kα1 and Kα2). Input: a crystal structure in OQMD, relaxed with GGA-PBE.
No peak broadening, texture or thermal motion is included.

Largest 8 diffraction maxima, sorted by position, 10° ≤ 2θ ≤ 90°:
- 28.89 deg, 3.090 Å, intensity 30
- 29.53 deg, 3.025 Å, intensity 78
- 33.68 deg, 2.661 Å, intensity 62
- 34.18 deg, 2.623 Å, intensity 100
- 37.88 deg, 2.375 Å, intensity 24
- 38.41 deg, 2.344 Å, intensity 34
- 45.91 deg, 1.977 Å, intensity 30
- 58.45 deg, 1.579 Å, intensity 27

Atomic structure:
```
Er5Ni2Te2
1.0
1.977 -7.430 0.000
1.977 7.430 0.000
0.000 0.000 14.838
Er Ni Te
10 4 4
Cartesian
1.977 6.837 9.273 Er
1.977 6.837 12.984 Er
1.977 3.577 1.910 Er
1.977 3.577 5.509 Er
1.977 1.582 11.128 Er
1.977 -1.582 3.710 Er
1.977 -3.577 9.329 Er
1.977 -3.577 12.928 Er
1.977 -6.837 1.854 Er
1.977 -6.837 5.565 Er
1.977 4.653 11.128 Ni
1.977 1.285 3.710 Ni
1.977 -1.285 11.128 Ni
1.977 -4.653 3.710 Ni
1.977 1.713 8.002 Te
1.977 1.713 14.255 Te
1.977 -1.713 0.583 Te
1.977 -1.713 6.836 Te
```

***

# Er3NiTe5
Theoretical X-ray powder pattern, Cu Kα (weighted mean of Kα1 and Kα2). Input: a crystal structure in OQMD, relaxed with GGA-PBE.
No peak broadening, texture or thermal motion is included.

Largest 8 diffraction maxima, sorted by position, 10° ≤ 2θ ≤ 90°:
- 11.90 deg, 7.439 Å, intensity 18
- 23.92 deg, 3.720 Å, intensity 19
- 30.32 deg, 2.948 Å, intensity 100
- 36.22 deg, 2.480 Å, intensity 51
- 38.98 deg, 2.310 Å, intensity 57
- 58.70 deg, 1.573 Å, intensity 22
- 58.85 deg, 1.569 Å, intensity 25
- 74.82 deg, 1.269 Å, intensity 19

Atomic structure:
```
Er3NiTe5
1.0
8.590 0.000 0.000
-4.295 7.439 0.000
0.000 0.000 4.054
Er Ni Te
3 1 5
Cartesian
-1.147 1.987 0.000 Er
2.295 0.000 0.000 Er
3.148 5.452 0.000 Er
0.000 0.000 2.027 Ni
-3.054 5.290 2.027 Te
1.241 2.149 2.027 Te
0.000 4.960 0.000 Te
4.295 2.480 0.000 Te
6.109 0.000 2.027 Te
```

***

# Er5Tm2Ni2Te2
Theoretical X-ray powder pattern, Cu Kα (weighted mean of Kα1 and Kα2). Input: a crystal structure in OQMD, relaxed with GGA-PBE.
No peak broadening, texture or thermal motion is included.

Largest 8 diffraction maxima, sorted by position, 10° ≤ 2θ ≤ 90°:
- 29.09 deg, 3.070 Å, intensity 23
- 30.42 deg, 2.939 Å, intensity 23
- 30.61 deg, 2.921 Å, intensity 51
- 33.29 deg, 2.692 Å, intensity 80
- 34.33 deg, 2.612 Å, intensity 100
- 34.83 deg, 2.576 Å, intensity 75
- 47.58 deg, 1.911 Å, intensity 30
- 59.30 deg, 1.558 Å, intensity 31

Atomic structure:
```
Er5Tm2Ni2Te2
1.0
-1.911 7.728 4.735
1.911 -7.728 4.735
1.911 7.728 -4.735
Er Tm Ni Te
5 2 2 2
Cartesian
0.000 0.000 0.000 Er
1.911 -2.264 2.181 Er
1.911 2.264 2.181 Er
1.911 5.670 0.786 Er
0.000 2.059 5.521 Er
1.911 2.865 -1.143 Tm
0.000 4.863 3.591 Tm
0.000 3.671 0.682 Ni
0.000 11.785 0.682 Ni
0.000 0.000 3.194 Te
0.000 7.728 2.227 Te
```

***

Repeat the seventh record exactly.
# Er3NiTe5
Theoretical X-ray powder pattern, Cu Kα (weighted mean of Kα1 and Kα2). Input: a crystal structure in OQMD, relaxed with GGA-PBE.
No peak broadening, texture or thermal motion is included.

Largest 8 diffraction maxima, sorted by position, 10° ≤ 2θ ≤ 90°:
- 11.90 deg, 7.439 Å, intensity 18
- 23.92 deg, 3.720 Å, intensity 19
- 30.32 deg, 2.948 Å, intensity 100
- 36.22 deg, 2.480 Å, intensity 51
- 38.98 deg, 2.310 Å, intensity 57
- 58.70 deg, 1.573 Å, intensity 22
- 58.85 deg, 1.569 Å, intensity 25
- 74.82 deg, 1.269 Å, intensity 19

Atomic structure:
```
Er3NiTe5
1.0
8.590 0.000 0.000
-4.295 7.439 0.000
0.000 0.000 4.054
Er Ni Te
3 1 5
Cartesian
-1.147 1.987 0.000 Er
2.295 0.000 0.000 Er
3.148 5.452 0.000 Er
0.000 0.000 2.027 Ni
-3.054 5.290 2.027 Te
1.241 2.149 2.027 Te
0.000 4.960 0.000 Te
4.295 2.480 0.000 Te
6.109 0.000 2.027 Te
```